For Pr3Ag4Sn4, a structure optimized by DFT (GGA-PBE) gives the simulated PXRD pattern in this record (Cu Kα X-rays).

Peak list (10 most intense, 2θ from 10° to 90°, sorted by position)
| 2theta | I (rel.) |
| --- | --- |
| 22.19 | 21 |
| 29.35 | 29 |
| 31.64 | 66 |
| 33.56 | 28 |
| 34.35 | 100 |
| 34.63 | 72 |
| 35.72 | 30 |
| 38.72 | 21 |
| 39.08 | 24 |
| 48.77 | 26 |

Cell and atoms:
abc: 10.330 10.330 10.330
angles: 159.17 128.86 55.80
Element x y z (fractional)
Pr1 0.000 0.000 0.000
Pr2 0.331 0.831 0.500
Pr3 0.669 0.169 0.500
Ag1 0.099 0.384 0.714
Ag2 0.330 0.616 0.714
Ag3 0.670 0.384 0.286
Ag4 0.901 0.616 0.286
Sn1 0.184 0.184 0.000
Sn2 0.344 0.000 0.344
Sn3 0.656 0.000 0.656
Sn4 0.816 0.816 0.000